[1]
This entry pairs a crystal structure of B7C5 with its computed PXRD pattern. Radiation: copper Kα. Structure: a crystal structure in Alexandria, relaxed with PBE.
Neutral-atom scattering factors, no anomalous dispersion.

Principal peaks in the range 2θ = 10–90°, low angle first:
2θ = 14.63°, I 33
2θ = 34.37°, I 29
2θ = 35.67°, I 29
2θ = 37.60°, I 37
2θ = 38.92°, I 50
2θ = 39.32°, I 71
2θ = 39.68°, I 100
2θ = 67.56°, I 23
2θ = 69.89°, I 26
2θ = 70.60°, I 47

Structure:
Cell: 6.4711 6.4711 5.2628 Å, 106.55 106.55 24.01°
Fractional coordinates of all 12 atoms:
B 0.0000 0.0000 0.0000
B 0.1701 0.1701 0.6339
B 0.3057 0.3057 0.3187
B 0.5185 0.5185 0.2711
B 0.6316 0.6316 0.0062
B 0.8550 0.8550 0.8604
B 0.9697 0.9697 0.6142
C 0.0916 0.0916 0.8464
C 0.2994 0.2994 0.8103
C 0.4348 0.4348 0.4481
C 0.6483 0.6483 0.4404
C 0.7293 0.7293 0.2747

=====

[2]
This entry pairs a crystal structure of Pr2NdTe3 with its computed PXRD pattern. Radiation: copper Kα. Structure: a crystal structure in Alexandria, relaxed with PBE.
Neutral-atom scattering factors, no anomalous dispersion.

Principal peaks in the range 2θ = 10–90°, low angle first:
2θ = 27.91°, I 100
2θ = 39.68°, I 13
2θ = 39.92°, I 64
2θ = 49.25°, I 14
2θ = 49.51°, I 14
2θ = 57.60°, I 9
2θ = 65.23°, I 12
2θ = 65.39°, I 18
2θ = 72.17°, I 9
2θ = 72.58°, I 13

Structure:
Cell: 7.8161 7.8161 7.8161 Å, 146.21 131.84 60.12°
Fractional coordinates of all 6 atoms:
Pr 0.1683 0.1683 0.0000
Pr 0.8317 0.8317 0.0000
Nd 0.5000 0.5000 0.0000
Te 0.0000 0.5000 0.5000
Te 0.3351 0.8351 0.5000
Te 0.6649 0.1649 0.5000

=====

[3]
This entry pairs a crystal structure of PrTeBrO4 with its computed PXRD pattern. Radiation: copper Kα. Structure: a crystal structure in Alexandria, relaxed with PBE.
Neutral-atom scattering factors, no anomalous dispersion.

Principal peaks in the range 2θ = 10–90°, low angle first:
2θ = 12.78°, I 33
2θ = 23.59°, I 100
2θ = 23.96°, I 40
2θ = 25.73°, I 28
2θ = 27.44°, I 23
2θ = 27.76°, I 49
2θ = 33.07°, I 44
2θ = 33.88°, I 27
2θ = 35.19°, I 21
2θ = 44.13°, I 33

Structure:
Cell: 6.6461 6.6461 7.2137 Å, 103.34 103.34 69.15°
Fractional coordinates of all 14 atoms:
Pr 0.2296 0.2296 0.1260
Pr 0.7704 0.7704 0.8740
Te 0.3653 0.3653 0.7358
Te 0.6347 0.6347 0.2642
Br 0.0114 0.0114 0.7564
Br 0.9886 0.9886 0.2436
O 0.1188 0.4827 0.8551
O 0.2963 0.2963 0.4748
O 0.4612 0.4612 0.1988
O 0.4827 0.1188 0.8551
O 0.5173 0.8812 0.1449
O 0.5388 0.5388 0.8012
O 0.7037 0.7037 0.5252
O 0.8812 0.5173 0.1449

=====

[4]
This entry pairs a crystal structure of V2GaPd5 with its computed PXRD pattern. Radiation: copper Kα. Structure: a crystal structure in Alexandria, relaxed with PBE.
Neutral-atom scattering factors, no anomalous dispersion.

Principal peaks in the range 2θ = 10–90°, low angle first:
2θ = 39.80°, I 83
2θ = 40.04°, I 100
2θ = 40.69°, I 24
2θ = 41.30°, I 13
2θ = 45.08°, I 38
2θ = 47.09°, I 47
2θ = 67.24°, I 31
2θ = 69.11°, I 14
2θ = 82.85°, I 14
2θ = 86.41°, I 15

Structure:
Cell: 5.4816 10.8696 4.0224 Å, 90.00 90.00 90.00°
Fractional coordinates of all 16 atoms:
V 0.1984 0.1400 0.0000
V 0.3016 0.6400 0.0000
V 0.6984 0.3600 0.0000
V 0.8016 0.8600 0.0000
Ga 0.0000 0.5000 0.5000
Ga 0.5000 0.0000 0.5000
Pd 0.0000 0.0000 0.5000
Pd 0.0468 0.7448 0.5000
Pd 0.2023 0.3916 0.0000
Pd 0.2977 0.8916 0.0000
Pd 0.4532 0.2448 0.5000
Pd 0.5000 0.5000 0.5000
Pd 0.5468 0.7552 0.5000
Pd 0.7023 0.1084 0.0000
Pd 0.7977 0.6084 0.0000
Pd 0.9532 0.2552 0.5000

=====

[5]
This entry pairs a crystal structure of PaCrReSi2 with its computed PXRD pattern. Radiation: copper Kα. Structure: a crystal structure in Alexandria, relaxed with PBE.
Neutral-atom scattering factors, no anomalous dispersion.

Principal peaks in the range 2θ = 10–90°, low angle first:
2θ = 23.59°, I 65
2θ = 34.45°, I 43
2θ = 35.29°, I 20
2θ = 35.91°, I 100
2θ = 44.62°, I 34
2θ = 51.08°, I 18
2θ = 57.57°, I 20
2θ = 58.13°, I 19
2θ = 63.74°, I 17
2θ = 76.50°, I 22

Structure:
Cell: 5.8418 5.8418 5.8418 Å, 139.32 139.32 58.89°
Fractional coordinates of all 5 atoms:
Pa 0.0000 0.0000 0.0000
Cr 0.7500 0.2500 0.5000
Re 0.2500 0.7500 0.5000
Si 0.3822 0.3822 0.0000
Si 0.6178 0.6178 0.0000

=====

[6]
This entry pairs a crystal structure of Pr6P4Pb with its computed PXRD pattern. Radiation: copper Kα. Structure: a crystal structure in Alexandria, relaxed with PBE.
Neutral-atom scattering factors, no anomalous dispersion.

Principal peaks in the range 2θ = 10–90°, low angle first:
2θ = 27.55°, I 56
2θ = 27.90°, I 82
2θ = 28.86°, I 27
2θ = 29.76°, I 100
2θ = 31.20°, I 25
2θ = 42.34°, I 38
2θ = 42.78°, I 28
2θ = 44.26°, I 19
2θ = 51.42°, I 22
2θ = 51.87°, I 41

Structure:
Cell: 7.2772 7.2772 21.6023 Å, 90.00 90.00 146.23°
Fractional coordinates of all 22 atoms:
Pr 0.0000 0.0000 0.0000
Pr 0.0000 0.0000 0.5000
Pr 0.1618 0.8382 0.7500
Pr 0.2731 0.7269 0.0808
Pr 0.2731 0.7269 0.4192
Pr 0.4596 0.5404 0.6567
Pr 0.4596 0.5404 0.8433
Pr 0.5404 0.4596 0.1567
Pr 0.5404 0.4596 0.3433
Pr 0.7269 0.2731 0.5808
Pr 0.7269 0.2731 0.9192
Pr 0.8382 0.1618 0.2500
P 0.0914 0.9086 0.6243
P 0.0914 0.9086 0.8757
P 0.3623 0.6377 0.5410
P 0.3623 0.6377 0.9590
P 0.6377 0.3623 0.0410
P 0.6377 0.3623 0.4590
P 0.9086 0.0914 0.1243
P 0.9086 0.0914 0.3757
Pb 0.1626 0.8374 0.2500
Pb 0.8374 0.1626 0.7500

=====

[7]
This entry pairs a crystal structure of Na6AgHg10 with its computed PXRD pattern. Radiation: copper Kα. Structure: a crystal structure in Alexandria, relaxed with PBE.
Neutral-atom scattering factors, no anomalous dispersion.

Principal peaks in the range 2θ = 10–90°, low angle first:
2θ = 22.57°, I 29
2θ = 24.36°, I 64
2θ = 30.01°, I 32
2θ = 31.30°, I 22
2θ = 33.45°, I 76
2θ = 34.14°, I 62
2θ = 35.30°, I 100
2θ = 49.92°, I 31
2θ = 52.80°, I 22
2θ = 55.44°, I 21

Structure:
Cell: 9.0970 9.0970 6.1335 Å, 90.00 90.00 120.00°
Fractional coordinates of all 17 atoms:
Na 0.0000 0.3842 0.2740
Na 0.0000 0.6158 0.7260
Na 0.3842 0.0000 0.2740
Na 0.3842 0.3842 0.7260
Na 0.6158 0.0000 0.7260
Na 0.6158 0.6158 0.2740
Ag 0.0000 0.0000 0.5000
Hg 0.0000 0.2564 0.7971
Hg 0.0000 0.7436 0.2029
Hg 0.2564 0.0000 0.7971
Hg 0.2564 0.2564 0.2029
Hg 0.3333 0.6667 0.0000
Hg 0.3333 0.6667 0.5000
Hg 0.6667 0.3333 0.0000
Hg 0.6667 0.3333 0.5000
Hg 0.7436 0.0000 0.2029
Hg 0.7436 0.7436 0.7971

=====

[8]
This entry pairs a crystal structure of Ac8TePb5 with its computed PXRD pattern. Radiation: copper Kα. Structure: a crystal structure in Alexandria, relaxed with PBE.
Neutral-atom scattering factors, no anomalous dispersion.

Principal peaks in the range 2θ = 10–90°, low angle first:
2θ = 27.50°, I 100
2θ = 32.67°, I 65
2θ = 39.28°, I 12
2θ = 43.21°, I 17
2θ = 45.07°, I 26
2θ = 55.20°, I 28
2θ = 56.76°, I 13
2θ = 58.30°, I 16
2θ = 67.05°, I 19
2θ = 88.37°, I 13

Structure:
Cell: 8.8832 8.8832 8.8832 Å, 109.48 109.48 109.45°
Fractional coordinates of all 14 atoms:
Ac 0.1230 0.3711 0.6123
Ac 0.1234 0.3763 0.1091
Ac 0.2672 0.0143 0.8909
Ac 0.4893 0.8770 0.2482
Ac 0.6237 0.7328 0.7471
Ac 0.6289 0.2412 0.7518
Ac 0.7588 0.5107 0.3877
Ac 0.9857 0.8766 0.2529
Te 0.2500 0.7500 0.5000
Pb 0.0029 0.6284 0.8781
Pb 0.3716 0.2496 0.3744
Pb 0.5000 0.5000 0.0000
Pb 0.7504 0.1248 0.1219
Pb 0.8752 0.9971 0.6256